1.
Diffraction record for BiOs2Pb. The PXRD pattern is computed, not measured: it uses a cell relaxed with GGA-PBE and Cu Kα, 1.54184 Å.
Kinematic intensities with the Lorentz-polarization factor, no thermal factor.

The 4 most intense peaks (2θ from 10° to 90°), most intense first:
2theta, I (rel.)
37.6, 100.0
67.9, 36.7
54.3, 17.7
80.3, 11.7

Structure:
a = 6.7626 Å, b = 6.7626 Å, c = 6.7626 Å
α = 90.00°, β = 90.00°, γ = 90.00°
Space group Fm-3m (No. 225)
Symmetry-distinct sites (fractional):
Bi (0.0000, 0.0000, 0.0000) x4
Os (0.2500, 0.2500, 0.2500) x8
Pb (0.0000, 0.0000, 0.5000) x4



2.
Diffraction record for Cu2H5Rh. The PXRD pattern is computed, not measured: it uses a cell relaxed with GGA-PBE and Cu Kα, 1.54184 Å.
Kinematic intensities with the Lorentz-polarization factor, no thermal factor.

The 10 most intense peaks (2θ from 10° to 90°), most intense first:
2theta, I (rel.)
19.1, 100.0
17.6, 90.4
30.5, 82.4
49.9, 61.9
30.9, 57.5
38.7, 55.7
41.8, 48.9
35.7, 48.4
43.5, 47.1
41.0, 44.8

Structure:
a = 3.0936 Å, b = 4.9396 Å, c = 5.1198 Å
α = 80.76°, β = 82.32°, γ = 71.82°
Space group P1 (No. 1)
Symmetry-distinct sites (fractional):
Cu (0.0000, 0.0000, 0.0000) x1
Cu (0.2579, 0.4082, 0.6331) x1
H (0.0733, 0.7216, 0.7970) x1
H (0.1685, 0.7290, 0.2887) x1
H (0.5869, 0.8194, 0.4808) x1
H (0.8196, 0.2498, 0.7159) x1
H (0.9382, 0.2168, 0.2351) x1
Rh (0.0088, 0.9658, 0.5036) x1



3.
Diffraction record for NaLa3Te4. The PXRD pattern is computed, not measured: it uses a cell relaxed with GGA-PBE and Cu Kα, 1.54184 Å.
Kinematic intensities with the Lorentz-polarization factor, no thermal factor.

The 10 most intense peaks (2θ from 10° to 90°), most intense first:
2theta, I (rel.)
27.5, 100.0
39.3, 76.7
48.7, 27.6
64.3, 23.6
71.3, 17.3
64.2, 11.9
71.2, 8.7
56.9, 8.6
15.3, 7.3
84.5, 5.5

Structure:
a = 6.4727 Å, b = 6.4727 Å, c = 12.9892 Å
α = 90.00°, β = 90.00°, γ = 90.00°
Space group I4/mmm (No. 139)
Symmetry-distinct sites (fractional):
Na (0.0000, 0.0000, 0.0000) x2
La (0.0000, 0.0000, 0.5000) x2
La (0.0000, 0.5000, 0.2500) x4
Te (0.0000, 0.0000, 0.2478) x4
Te (0.0000, 0.5000, 0.0000) x4